This entry pairs a crystal structure of RbNa2ReBr8 with its computed powder X-ray diffraction pattern. Radiation: Cu Kα, 1.54184 Å. Structure: a DFT-relaxed cell (GGA-PBE, Alexandria).
Neutral-atom scattering factors, no anomalous dispersion.

Atomic structure:
Lattice parameters (Å, degrees): 6.3428 6.7288 9.6505 90.04 90.19 94.23
Atoms (fractional coordinates):
Rb: 0.0000 0.0000 0.0000
Na: 0.4991 0.4999 0.7357
Na: 0.5009 0.5001 0.2643
Re: 0.0000 0.0000 0.5000
Br: 0.2272 0.8636 0.3141
Br: 0.2292 0.8659 0.6866
Br: 0.2298 0.3249 0.4992
Br: 0.2494 0.4911 0.0000
Br: 0.7506 0.5089 0.0000
Br: 0.7702 0.6751 0.5008
Br: 0.7708 0.1341 0.3134
Br: 0.7728 0.1364 0.6859

Peak list (10 most intense, 10 to 90 degrees two-theta, by angle)
| Position (°2θ) | Rel. int. |
| --- | --- |
| 14.00 | 64.9 |
| 16.09 | 83.3 |
| 18.39 | 44.5 |
| 19.99 | 65.8 |
| 23.19 | 47.4 |
| 26.24 | 98.1 |
| 31.08 | 55.2 |
| 32.49 | 42.4 |
| 35.71 | 100.0 |
| 37.26 | 56.6 |



This entry pairs a crystal structure of RbNa2Sr2Br7 with its computed powder X-ray diffraction pattern. Radiation: Cu Kα, 1.54184 Å. Structure: a DFT-relaxed cell (GGA-PBE, Alexandria).
Neutral-atom scattering factors, no anomalous dispersion.

Atomic structure:
Lattice parameters (Å, degrees): 13.0155 13.0155 13.0155 152.99 38.58 152.98
Atoms (fractional coordinates):
Rb: 0.0000 0.0000 0.0000
Na: 0.1208 0.3714 0.7494
Na: 0.6221 0.3714 0.2506
Sr: 0.2552 0.8772 0.3780
Sr: 0.4991 0.8772 0.6220
Br: 0.1260 0.8715 0.2545
Br: 0.2426 0.3639 0.8786
Br: 0.3234 0.8234 0.5000
Br: 0.4853 0.3639 0.1214
Br: 0.6170 0.8715 0.7455
Br: 0.7501 0.3742 0.3759
Br: 0.9982 0.3742 0.6241

Peak list (10 most intense, 10 to 90 degrees two-theta, by angle)
| Position (°2θ) | Rel. int. |
| --- | --- |
| 15.01 | 33.0 |
| 18.17 | 17.2 |
| 25.29 | 67.5 |
| 29.07 | 55.0 |
| 29.38 | 100.0 |
| 33.15 | 16.8 |
| 41.81 | 71.0 |
| 42.03 | 36.7 |
| 51.92 | 32.4 |
| 76.65 | 17.3 |